[1]
For Sr2CaV2Si4O14, a cell relaxed with GGA+U gives the calculated XRD peak list in this record (Cu Ka).
Neutral-atom scattering factors, no anomalous dispersion.

Peak list (10 most intense, 2θ from 10° to 90°, most intense first)
d (Å), 2theta, intensity, h k l
3.018, 29.60, 100, 1 2 0
3.236, 27.56, 96, 1 1 -2
2.976, 30.02, 73, 1 2 -1
3.312, 26.92, 55, 0 1 2
3.720, 23.92, 51, 0 0 2
2.823, 31.69, 44, 2 0 -1
2.169, 41.63, 43, 2 2 0
2.565, 34.99, 43, 1 0 -3
1.820, 50.12, 41, 0 4 0
2.646, 33.88, 35, 1 2 1

Atomic structure:
```
data_Sr2CaV2Si4O14
_symmetry_space_group_name_H-M 'P 1 m 1'
_symmetry_Int_Tables_number 6
_cell_length_a 5.6586
_cell_length_b 7.2803
_cell_length_c 7.8012
_cell_angle_alpha 90.00
_cell_angle_beta 107.52
_cell_angle_gamma 90.00
loop_
_symmetry_equiv_pos_as_xyz
'x,y,z'
'x,-y,z'
loop_
_atom_site_label
_atom_site_fract_x
_atom_site_fract_y
_atom_site_fract_z
_atom_site_occupancy
Sr1 0.0000 0.0000 0.0000 1
Sr2 0.3421 0.5000 0.7763 1
Ca1 0.4066 0.5000 0.3534 1
V1 0.2621 0.0000 0.5621 1
V2 0.9727 0.5000 0.0823 1
Si1 0.5462 0.2182 0.1294 1
Si2 0.7753 0.2688 0.5682 1
O1 0.0296 0.5000 0.3213 1
O2 0.0479 0.1915 0.6659 1
O3 0.1389 0.0000 0.3209 1
O4 0.2725 0.3157 0.0717 1
O5 0.5046 0.0000 0.0719 1
O6 0.5299 0.2142 0.6252 1
O7 0.6730 0.2462 0.3453 1
O8 0.7157 0.3002 0.0119 1
O9 0.7904 0.5000 0.6086 1
```

[2]
For Sr7CaTi7MnO24, a cell relaxed with GGA+U gives the calculated XRD peak list in this record (Cu Ka).
Neutral-atom scattering factors, no anomalous dispersion.

Peak list (10 most intense, 2θ from 10° to 90°, most intense first)
d (Å), 2theta, intensity, h k l
2.772, 32.29, 100, 2 2 0
1.960, 46.31, 42, 4 0 4
1.601, 57.58, 37, 6 0 0
1.386, 67.58, 24, 4 4 0
2.264, 39.82, 19, 0 4 2
1.240, 76.89, 16, 6 2 4
1.132, 85.86, 8, 0 8 4
1.182, 81.40, 6, 8 0 2
3.921, 22.68, 2, 2 0 2
1.753, 52.16, 2, 4 2 2

Atomic structure:
```
data_Sr7CaTi7MnO24
_symmetry_space_group_name_H-M 'R 3 m'
_symmetry_Int_Tables_number 160
_symmetry_space_group_name_Hall 'R 3 -2"'
_cell_length_a 11.0888
_cell_length_b 11.0888
_cell_length_c 13.5843
_cell_angle_alpha 90.00
_cell_angle_beta 90.00
_cell_angle_gamma 120.00
loop_
_atom_site_label
_atom_site_fract_x
_atom_site_fract_y
_atom_site_fract_z
_atom_site_occupancy
Sr1 0.0000 0.0000 0.0000 1
Sr2 0.0016 0.5008 0.9985 1
Sr3 0.1674 0.3349 0.8326 1
Ca1 0.0000 0.0000 0.4977 1
Ti1 0.0000 0.0000 0.7483 1
Ti2 0.0007 0.5004 0.2487 1
Ti3 0.1671 0.3343 0.0823 1
Mn1 0.0000 0.0000 0.2494 1
O1 0.0006 0.2505 0.9992 1
O2 0.0826 0.1651 0.1665 1
O3 0.0829 0.1657 0.6643 1
O4 0.0852 0.4180 0.1653 1
O5 0.1637 0.0818 0.3325 1
O6 0.1670 0.0835 0.8321 1
```

[3]
For MgMn3CoO8, a cell relaxed with GGA+U gives the calculated XRD peak list in this record (Cu Ka).
Neutral-atom scattering factors, no anomalous dispersion.

Peak list (10 most intense, 2θ from 10° to 90°, most intense first)
d (Å), 2theta, intensity, h k l
4.968, 17.85, 100, 0 0 1
2.157, 41.87, 23, 0 2 0
2.062, 43.91, 21, 2 0 -2
2.053, 44.10, 21, 2 -2 2
2.461, 36.51, 20, 2 -2 1
2.390, 37.63, 12, 2 -2 0
1.468, 63.36, 12, 2 2 -2
2.544, 35.27, 11, 0 2 -1
4.780, 18.56, 7, 1 0 0
2.484, 36.16, 6, 0 0 2

Atomic structure:
```
data_MgMn3CoO8
_symmetry_space_group_name_H-M 'P 1'
_symmetry_Int_Tables_number 1
_cell_length_a 5.7419
_cell_length_b 5.8768
_cell_length_c 5.9069
_cell_angle_alpha 118.03
_cell_angle_beta 90.25
_cell_angle_gamma 119.20
loop_
_symmetry_equiv_pos_as_xyz
'x,y,z'
loop_
_atom_site_label
_atom_site_fract_x
_atom_site_fract_y
_atom_site_fract_z
_atom_site_occupancy
Mg1 0.0000 0.0000 0.0000 1
Mn1 0.0008 0.5001 0.4995 1
Mn2 0.5002 0.9991 0.4985 1
Mn3 0.5008 0.4999 0.4993 1
Co1 0.0008 0.0002 0.4997 1
O1 0.2220 0.9510 0.7000 1
O2 0.2289 0.4539 0.6957 1
O3 0.2417 0.4841 0.2753 1
O4 0.2691 0.0487 0.2991 1
O5 0.7319 0.9510 0.6995 1
O6 0.7596 0.5156 0.7232 1
O7 0.7731 0.5469 0.3035 1
O8 0.7795 0.0489 0.2987 1
```

[4]
For SiNi2O4, a cell relaxed with GGA+U gives the calculated XRD peak list in this record (Cu Ka).
Neutral-atom scattering factors, no anomalous dispersion.

Peak list (10 most intense, 2θ from 10° to 90°, most intense first)
d (Å), 2theta, intensity, h k l
2.458, 36.55, 100, 1 2 1
1.752, 52.20, 83, 2 2 2
2.779, 32.21, 81, 3 0 1
3.504, 25.42, 81, 1 1 1
2.520, 35.63, 74, 3 1 1
2.581, 34.75, 44, 2 2 0
1.484, 62.61, 32, 6 2 0
1.747, 52.37, 32, 4 0 2
1.401, 66.76, 25, 7 0 1
1.494, 62.15, 23, 0 4 0

Atomic structure:
```
data_SiNi2O4
_symmetry_space_group_name_H-M 'P n m a'
_symmetry_Int_Tables_number 62
_cell_length_a 10.2558
_cell_length_b 5.9746
_cell_length_c 4.7734
_cell_angle_alpha 90.00
_cell_angle_beta 90.00
_cell_angle_gamma 90.00
loop_
_symmetry_equiv_pos_as_xyz
'x,y,z'
'-x,-y,-z'
'-x+1/2,-y,z+1/2'
'x+1/2,y,-z+1/2'
'x+1/2,-y+1/2,-z+1/2'
'-x+1/2,y+1/2,z+1/2'
'-x,y+1/2,-z'
'x,-y+1/2,z'
loop_
_atom_site_label
_atom_site_fract_x
_atom_site_fract_y
_atom_site_fract_z
_atom_site_occupancy
Si1 0.0940 0.2500 0.0730 1
Ni1 0.0000 0.0000 0.5000 1
Ni2 0.2264 0.7500 0.0064 1
O1 0.0550 0.7500 0.7826 1
O2 0.0937 0.2500 0.7308 1
O3 0.1630 0.0299 0.2254 1
```